[1]
Ho7Sn3C2: computed powder diffractogram (Cu Kα (weighted mean of Kα1 and Kα2)), based on a crystal structure in Alexandria, relaxed with PBE.
Kinematic intensities with the Lorentz-polarization factor, no thermal factor.

Structure:
Cell lengths 13.156, 13.156, 13.156 Å; angles 158.87, 158.87, 30.05 degrees
Fractional positions:
Ho (0.000, 0.000, 0.000)
Ho (0.096, 0.596, 0.500)
Ho (0.194, 0.194, 0.000)
Ho (0.404, 0.904, 0.500)
Ho (0.596, 0.096, 0.500)
Ho (0.806, 0.806, 0.000)
Ho (0.904, 0.404, 0.500)
Sn (0.319, 0.319, 0.000)
Sn (0.500, 0.500, 0.000)
Sn (0.681, 0.681, 0.000)
C (0.097, 0.097, 0.000)
C (0.903, 0.903, 0.000)

Top 6 peaks for 15° ≤ 2θ ≤ 90°, low angle first:
2θ = 29.7°, d = 3.005 Å, I = 54; 2θ = 33.7°, d = 2.657 Å, I = 100; 2θ = 35.3°, d = 2.541 Å, I = 26; 2θ = 37.3°, d = 2.412 Å, I = 59; 2θ = 52.3°, d = 1.749 Å, I = 34; 2θ = 65.0°, d = 1.435 Å, I = 31

[2]
Ho4SnC2: computed powder diffractogram (Cu Kα (weighted mean of Kα1 and Kα2)), based on a crystal structure in Alexandria, relaxed with PBE.
Kinematic intensities with the Lorentz-polarization factor, no thermal factor.

Structure:
Cell lengths 14.258, 14.258, 14.258 Å; angles 14.46, 14.46, 14.46 degrees
Fractional positions:
Ho (0.124, 0.124, 0.124)
Ho (0.273, 0.273, 0.273)
Ho (0.727, 0.727, 0.727)
Ho (0.876, 0.876, 0.876)
Sn (0.000, 0.000, 0.000)
C (0.427, 0.427, 0.427)
C (0.573, 0.573, 0.573)

Top 6 peaks for 15° ≤ 2θ ≤ 90°, low angle first:
2θ = 30.6°, d = 2.918 Å, I = 29; 2θ = 31.7°, d = 2.821 Å, I = 29; 2θ = 32.4°, d = 2.765 Å, I = 100; 2θ = 33.4°, d = 2.680 Å, I = 73; 2θ = 40.1°, d = 2.248 Å, I = 30; 2θ = 50.9°, d = 1.795 Å, I = 44

[3]
Ho3TmSn2C: computed powder diffractogram (Cu Kα (weighted mean of Kα1 and Kα2)), based on a crystal structure in Alexandria, relaxed with PBE.
Kinematic intensities with the Lorentz-polarization factor, no thermal factor.

Structure:
Cell lengths 4.734, 4.767, 15.856 Å; angles 90.00, 90.00, 90.00 degrees
Fractional positions:
Ho (0.000, 0.000, 0.000)
Ho (0.000, 0.500, 0.159)
Ho (0.000, 0.500, 0.841)
Ho (0.500, 0.000, 0.341)
Ho (0.500, 0.000, 0.659)
Ho (0.500, 0.500, 0.500)
Tm (0.000, 0.000, 0.500)
Tm (0.500, 0.500, 0.000)
Sn (0.000, 0.500, 0.360)
Sn (0.000, 0.500, 0.640)
Sn (0.500, 0.000, 0.140)
Sn (0.500, 0.000, 0.860)
C (0.000, 0.500, 0.000)
C (0.500, 0.000, 0.500)

Top 6 peaks for 15° ≤ 2θ ≤ 90°, low angle first:
2θ = 28.9°, d = 3.093 Å, I = 71; 2θ = 33.9°, d = 2.642 Å, I = 32; 2θ = 35.0°, d = 2.563 Å, I = 100; 2θ = 37.7°, d = 2.383 Å, I = 29; 2θ = 38.0°, d = 2.367 Å, I = 29; 2θ = 54.6°, d = 1.680 Å, I = 20

[4]
Ho3TeC: computed powder diffractogram (Cu Kα (weighted mean of Kα1 and Kα2)), based on a crystal structure in Alexandria, relaxed with PBE.
Kinematic intensities with the Lorentz-polarization factor, no thermal factor.

Structure:
Cell lengths 9.769, 9.769, 7.346 Å; angles 90.00, 90.00, 157.89 degrees
Fractional positions:
Ho (0.076, 0.924, 0.500)
Ho (0.265, 0.735, 0.101)
Ho (0.400, 0.600, 0.379)
Ho (0.600, 0.400, 0.879)
Ho (0.735, 0.265, 0.601)
Ho (0.924, 0.076, 0.000)
Te (0.346, 0.654, 0.752)
Te (0.654, 0.346, 0.252)
C (0.157, 0.843, 0.734)
C (0.843, 0.157, 0.234)

Top 6 peaks for 15° ≤ 2θ ≤ 90°, low angle first:
2θ = 26.0°, d = 3.430 Å, I = 24; 2θ = 27.6°, d = 3.233 Å, I = 21; 2θ = 30.2°, d = 2.959 Å, I = 100; 2θ = 30.7°, d = 2.916 Å, I = 25; 2θ = 34.5°, d = 2.599 Å, I = 24; 2θ = 44.4°, d = 2.038 Å, I = 25

[5]
Ho3Te2C: computed powder diffractogram (Cu Kα (weighted mean of Kα1 and Kα2)), based on a crystal structure in Alexandria, relaxed with PBE.
Kinematic intensities with the Lorentz-polarization factor, no thermal factor.

Structure:
Cell lengths 9.349, 9.349, 5.861 Å; angles 90.00, 90.00, 37.20 degrees
Fractional positions:
Ho (0.119, 0.624, 0.969)
Ho (0.192, 0.808, 0.500)
Ho (0.376, 0.881, 0.969)
Ho (0.624, 0.119, 0.469)
Ho (0.808, 0.192, 0.000)
Ho (0.881, 0.376, 0.469)
Te (0.080, 0.572, 0.470)
Te (0.428, 0.920, 0.470)
Te (0.572, 0.080, 0.970)
Te (0.920, 0.428, 0.970)
C (0.200, 0.800, 0.936)
C (0.800, 0.200, 0.436)

Top 6 peaks for 15° ≤ 2θ ≤ 90°, low angle first:
2θ = 30.0°, d = 2.982 Å, I = 62; 2θ = 30.3°, d = 2.954 Å, I = 25; 2θ = 30.5°, d = 2.931 Å, I = 65; 2θ = 33.1°, d = 2.703 Å, I = 100; 2θ = 43.3°, d = 2.090 Å, I = 44; 2θ = 61.7°, d = 1.503 Å, I = 26

[6]
Ho6Te2C3: computed powder diffractogram (Cu Kα (weighted mean of Kα1 and Kα2)), based on a crystal structure in Alexandria, relaxed with PBE.
Kinematic intensities with the Lorentz-polarization factor, no thermal factor.

Structure:
Cell lengths 6.431, 6.431, 7.429 Å; angles 98.36, 98.36, 120.07 degrees
Fractional positions:
Ho (0.058, 0.395, 0.183)
Ho (0.270, 0.270, 0.821)
Ho (0.395, 0.058, 0.183)
Ho (0.605, 0.942, 0.817)
Ho (0.730, 0.730, 0.179)
Ho (0.942, 0.605, 0.817)
Te (0.165, 0.835, 0.500)
Te (0.835, 0.165, 0.500)
C (0.000, 0.000, 0.000)
C (0.330, 0.670, 0.000)
C (0.670, 0.330, 0.000)

Top 6 peaks for 15° ≤ 2θ ≤ 90°, low angle first:
2θ = 29.0°, d = 3.077 Å, I = 71; 2θ = 32.5°, d = 2.755 Å, I = 50; 2θ = 32.5°, d = 2.751 Å, I = 100; 2θ = 34.9°, d = 2.569 Å, I = 50; 2θ = 49.1°, d = 1.856 Å, I = 61; 2θ = 63.6°, d = 1.462 Å, I = 40

[7]
Ho3Te3C: computed powder diffractogram (Cu Kα (weighted mean of Kα1 and Kα2)), based on a crystal structure in Alexandria, relaxed with PBE.
Kinematic intensities with the Lorentz-polarization factor, no thermal factor.

Structure:
Cell lengths 7.522, 7.522, 7.609 Å; angles 97.52, 97.52, 111.53 degrees
Fractional positions:
Ho (0.095, 0.095, 0.332)
Ho (0.153, 0.441, 0.781)
Ho (0.441, 0.153, 0.781)
Ho (0.559, 0.847, 0.219)
Ho (0.847, 0.559, 0.219)
Ho (0.905, 0.905, 0.668)
Te (0.167, 0.833, 0.000)
Te (0.261, 0.739, 0.500)
Te (0.390, 0.390, 0.153)
Te (0.610, 0.610, 0.847)
Te (0.739, 0.261, 0.500)
Te (0.833, 0.167, 0.000)
C (0.168, 0.168, 0.642)
C (0.832, 0.832, 0.358)

Top 6 peaks for 15° ≤ 2θ ≤ 90°, low angle first:
2θ = 28.1°, d = 3.181 Å, I = 100; 2θ = 31.9°, d = 2.802 Å, I = 40; 2θ = 32.9°, d = 2.725 Å, I = 34; 2θ = 36.1°, d = 2.490 Å, I = 11; 2θ = 36.2°, d = 2.480 Å, I = 60; 2θ = 40.9°, d = 2.209 Å, I = 18

[8]
HoTh6C5: computed powder diffractogram (Cu Kα (weighted mean of Kα1 and Kα2)), based on a crystal structure in Alexandria, relaxed with PBE.
Kinematic intensities with the Lorentz-polarization factor, no thermal factor.

Structure:
Cell lengths 6.824, 6.824, 12.974 Å; angles 90.00, 90.00, 120.00 degrees
Fractional positions:
Ho (0.000, 0.000, 0.250)
Ho (0.000, 0.000, 0.750)
Th (0.000, 0.389, 0.117)
Th (0.000, 0.389, 0.383)
Th (0.000, 0.611, 0.617)
Th (0.000, 0.611, 0.883)
Th (0.389, 0.000, 0.117)
Th (0.389, 0.000, 0.383)
Th (0.389, 0.389, 0.617)
Th (0.389, 0.389, 0.883)
Th (0.611, 0.000, 0.617)
Th (0.611, 0.000, 0.883)
Th (0.611, 0.611, 0.117)
Th (0.611, 0.611, 0.383)
C (0.000, 0.346, 0.750)
C (0.000, 0.654, 0.250)
C (0.333, 0.667, 0.000)
C (0.333, 0.667, 0.500)
C (0.346, 0.000, 0.750)
C (0.346, 0.346, 0.250)
C (0.654, 0.000, 0.250)
C (0.654, 0.654, 0.750)
C (0.667, 0.333, 0.000)
C (0.667, 0.333, 0.500)

Top 6 peaks for 15° ≤ 2θ ≤ 90°, low angle first:
2θ = 27.0°, d = 3.300 Å, I = 100; 2θ = 27.5°, d = 3.243 Å, I = 45; 2θ = 30.2°, d = 2.955 Å, I = 52; 2θ = 33.5°, d = 2.679 Å, I = 97; 2θ = 38.3°, d = 2.351 Å, I = 56; 2θ = 56.5°, d = 1.628 Å, I = 45

[9]
HoTh5C3: computed powder diffractogram (Cu Kα (weighted mean of Kα1 and Kα2)), based on a crystal structure in Alexandria, relaxed with PBE.
Kinematic intensities with the Lorentz-polarization factor, no thermal factor.

Structure:
Cell lengths 7.232, 7.232, 9.488 Å; angles 111.32, 111.32, 75.65 degrees
Fractional positions:
Ho (0.098, 0.098, 0.304)
Ho (0.902, 0.902, 0.696)
Th (0.041, 0.627, 0.335)
Th (0.236, 0.236, 0.032)
Th (0.291, 0.709, 0.000)
Th (0.373, 0.959, 0.665)
Th (0.432, 0.432, 0.640)
Th (0.568, 0.568, 0.360)
Th (0.627, 0.041, 0.335)
Th (0.709, 0.291, 0.000)
Th (0.764, 0.764, 0.968)
Th (0.959, 0.373, 0.665)
C (0.000, 0.000, 0.000)
C (0.000, 0.000, 0.500)
C (0.331, 0.331, 0.336)
C (0.332, 0.332, 0.833)
C (0.668, 0.668, 0.167)
C (0.669, 0.669, 0.664)

Top 6 peaks for 15° ≤ 2θ ≤ 90°, low angle first:
2θ = 28.6°, d = 3.116 Å, I = 100; 2θ = 31.7°, d = 2.824 Å, I = 97; 2θ = 31.9°, d = 2.810 Å, I = 96; 2θ = 32.0°, d = 2.801 Å, I = 28; 2θ = 50.5°, d = 1.807 Å, I = 35; 2θ = 58.5°, d = 1.579 Å, I = 29

[10]
YHo3C8: computed powder diffractogram (Cu Kα (weighted mean of Kα1 and Kα2)), based on a crystal structure in Alexandria, relaxed with PBE.
Kinematic intensities with the Lorentz-polarization factor, no thermal factor.

Structure:
Cell lengths 3.658, 3.658, 12.374 Å; angles 90.00, 90.00, 90.00 degrees
Fractional positions:
Y (0.000, 0.000, 0.000)
Ho (0.000, 0.000, 0.500)
Ho (0.500, 0.500, 0.250)
Ho (0.500, 0.500, 0.750)
C (0.000, 0.000, 0.198)
C (0.000, 0.000, 0.303)
C (0.000, 0.000, 0.697)
C (0.000, 0.000, 0.802)
C (0.500, 0.500, 0.053)
C (0.500, 0.500, 0.447)
C (0.500, 0.500, 0.553)
C (0.500, 0.500, 0.947)

Top 6 peaks for 15° ≤ 2θ ≤ 90°, low angle first:
2θ = 28.3°, d = 3.149 Å, I = 100; 2θ = 28.9°, d = 3.093 Å, I = 34; 2θ = 34.7°, d = 2.587 Å, I = 51; 2θ = 45.7°, d = 1.984 Å, I = 38; 2θ = 50.8°, d = 1.796 Å, I = 29; 2θ = 58.3°, d = 1.582 Å, I = 29

[11]
YHo2C3: computed powder diffractogram (Cu Kα (weighted mean of Kα1 and Kα2)), based on a crystal structure in Alexandria, relaxed with PBE.
Kinematic intensities with the Lorentz-polarization factor, no thermal factor.

Structure:
Cell lengths 6.916, 6.916, 6.916 Å; angles 131.55, 86.31, 113.64 degrees
Fractional positions:
Y (0.277, 0.027, 0.250)
Y (0.723, 0.973, 0.750)
Ho (0.095, 0.669, 0.426)
Ho (0.258, 0.331, 0.926)
Ho (0.742, 0.669, 0.074)
Ho (0.905, 0.331, 0.574)
C (0.000, 0.000, 0.500)
C (0.000, 0.121, 0.121)
C (0.000, 0.500, 0.000)
C (0.000, 0.879, 0.879)
C (0.500, 0.121, 0.621)
C (0.500, 0.879, 0.379)

Top 6 peaks for 15° ≤ 2θ ≤ 90°, low angle first:
2θ = 26.4°, d = 3.375 Å, I = 91; 2θ = 29.1°, d = 3.074 Å, I = 100; 2θ = 31.5°, d = 2.837 Å, I = 84; 2θ = 39.1°, d = 2.306 Å, I = 100; 2θ = 39.2°, d = 2.299 Å, I = 67; 2θ = 43.4°, d = 2.085 Å, I = 78

[12]
Ho2ZnC: computed powder diffractogram (Cu Kα (weighted mean of Kα1 and Kα2)), based on a crystal structure in Alexandria, relaxed with PBE.
Kinematic intensities with the Lorentz-polarization factor, no thermal factor.

Structure:
Cell lengths 3.606, 3.606, 22.041 Å; angles 90.00, 90.00, 120.00 degrees
Fractional positions:
Ho (0.000, 0.000, 0.227)
Ho (0.000, 0.000, 0.773)
Ho (0.333, 0.667, 0.439)
Ho (0.333, 0.667, 0.894)
Ho (0.667, 0.333, 0.106)
Ho (0.667, 0.333, 0.561)
Zn (0.000, 0.000, 0.000)
Zn (0.333, 0.667, 0.667)
Zn (0.667, 0.333, 0.333)
C (0.000, 0.000, 0.500)
C (0.333, 0.667, 0.167)
C (0.667, 0.333, 0.833)

Top 6 peaks for 15° ≤ 2θ ≤ 90°, low angle first:
2θ = 29.7°, d = 3.004 Å, I = 54; 2θ = 33.0°, d = 2.717 Å, I = 100; 2θ = 35.2°, d = 2.548 Å, I = 49; 2θ = 36.7°, d = 2.449 Å, I = 27; 2θ = 50.6°, d = 1.803 Å, I = 39; 2θ = 64.1°, d = 1.452 Å, I = 32

[13]
InCI2: computed powder diffractogram (Cu Kα (weighted mean of Kα1 and Kα2)), based on a crystal structure in Alexandria, relaxed with PBE.
Kinematic intensities with the Lorentz-polarization factor, no thermal factor.

Structure:
Cell lengths 3.821, 3.821, 9.074 Å; angles 90.00, 90.00, 120.00 degrees
Fractional positions:
In (0.000, 0.000, 0.000)
C (0.667, 0.333, 0.070)
I (0.000, 0.000, 0.689)
I (0.667, 0.333, 0.306)

Top 6 peaks for 15° ≤ 2θ ≤ 90°, low angle first:
2θ = 26.9°, d = 3.309 Å, I = 51; 2θ = 28.7°, d = 3.109 Å, I = 100; 2θ = 29.5°, d = 3.025 Å, I = 36; 2θ = 33.5°, d = 2.674 Å, I = 39; 2θ = 40.4°, d = 2.233 Å, I = 37; 2θ = 47.6°, d = 1.911 Å, I = 34